This entry pairs a crystal structure of SrCaTl2 with its simulated X-ray powder pattern. Radiation: Cu Kα, 1.54184 Å. Structure: a DFT-relaxed cell (PBE, the Materials Project).
Neutral-atom scattering factors, no anomalous dispersion.

Structural model:
abc: 8.022 8.022 8.022
angles: 90.00 90.00 90.00
Space group Fm-3m (No. 225)
Unique sites:
Sr (0.000, 0.000, 0.000)
Ca (0.000, 0.000, 0.500)
Tl (0.250, 0.250, 0.250)

Peak list (12 most intense, 2θ from 10° to 90°, by angle)
(2 0 0), 22.16°, I = 30; (2 2 0), 31.54°, I = 100; (2 2 2), 38.89°, I = 10; (4 0 0), 45.21°, I = 19; (4 2 0), 50.91°, I = 14; (4 2 2), 56.17°, I = 39; (4 4 0), 65.86°, I = 12; (6 0 0), 70.42°, I = 7; (6 2 0), 74.86°, I = 17; (6 2 2), 79.20°, I = 4; (4 4 4), 83.49°, I = 4; (6 4 0), 87.73°, I = 3

This entry pairs a crystal structure of SrCaZn2 with its simulated X-ray powder pattern. Radiation: Cu Kα, 1.54184 Å. Structure: a DFT-relaxed cell (PBE, the Materials Project).
Neutral-atom scattering factors, no anomalous dispersion.

Structural model:
abc: 4.461 6.273 8.435
angles: 90.00 90.00 90.00
Space group Pmc2_1 (No. 26)
Unique sites:
Sr (0.000, 0.135, 0.000)
Ca (0.500, 0.370, 0.357)
Zn (0.000, 0.365, 0.646)
Zn (0.500, 0.155, 0.702)

Peak list (12 most intense, 2θ from 10° to 90°, by angle)
(0 1 1), 17.62°, I = 44; (1 1 1), 26.70°, I = 30; (1 0 2), 29.14°, I = 57; (0 2 1), 30.40°, I = 44; (1 1 2), 32.52°, I = 67; (0 1 3), 34.97°, I = 54; (1 2 1), 36.61°, I = 100; (2 0 0), 40.44°, I = 36; (2 2 1), 51.43°, I = 19; (1 3 2), 53.02°, I = 30; (2 1 3), 54.52°, I = 29; (1 2 5), 66.32°, I = 22

This entry pairs a crystal structure of CaTaTc with its simulated X-ray powder pattern. Radiation: Cu Kα, 1.54184 Å. Structure: a DFT-relaxed cell (PBE, the Materials Project).
Neutral-atom scattering factors, no anomalous dispersion.

Structural model:
abc: 6.421 6.421 6.421
angles: 90.00 90.00 90.00
Space group F-43m (No. 216)
Unique sites:
Ca (0.000, 0.000, 0.000)
Ta (0.250, 0.250, 0.750)
Tc (0.000, 0.000, 0.500)

Peak list (11 most intense, 2θ from 10° to 90°, by angle)
(1 1 1), 24.00°, I = 84; (2 0 0), 27.79°, I = 1; (2 2 0), 39.70°, I = 100; (3 1 1), 46.93°, I = 43; (2 2 2), 49.15°, I = 1; (4 0 0), 57.40°, I = 17; (3 3 1), 63.11°, I = 18; (4 2 0), 64.95°, I = 1; (4 2 2), 72.06°, I = 34; (5 1 1), 77.20°, I = 13; (4 4 0), 85.56°, I = 11

This entry pairs a crystal structure of CaTb3 with its simulated X-ray powder pattern. Radiation: Cu Kα, 1.54184 Å. Structure: a DFT-relaxed cell (PBE, the Materials Project).
Neutral-atom scattering factors, no anomalous dispersion.

Structural model:
abc: 5.119 5.119 10.194
angles: 90.00 90.00 90.00
Space group I4/mmm (No. 139)
Unique sites:
Ca (0.000, 0.000, 0.000)
Tb (0.000, 0.000, 0.500)
Tb (0.000, 0.500, 0.250)

Peak list (12 most intense, 2θ from 10° to 90°, by angle)
(1 0 1), 19.40°, I = 14; (1 1 2), 30.28°, I = 100; (2 0 0), 35.06°, I = 34; (0 0 4), 35.22°, I = 17; (2 2 0), 50.42°, I = 12; (2 0 4), 50.54°, I = 24; (3 1 2), 59.95°, I = 29; (1 1 6), 60.17°, I = 14; (2 2 4), 62.99°, I = 12; (3 3 2), 82.08°, I = 6; (3 1 6), 82.26°, I = 12; (4 2 0), 84.71°, I = 11

This entry pairs a crystal structure of Ca3Tb with its simulated X-ray powder pattern. Radiation: Cu Kα, 1.54184 Å. Structure: a DFT-relaxed cell (PBE, the Materials Project).
Neutral-atom scattering factors, no anomalous dispersion.

Structural model:
abc: 7.5780 7.5780 6.2519
angles: 90.00 90.00 120.00
Space group P6_3/mmc (No. 194)
Unique sites:
Ca (0.1703, 0.3406, 0.2500)
Tb (0.3333, 0.6667, 0.7500)

Peak list (12 most intense, 2θ from 10° to 90°, by angle)
(1 0 0), 13.49°, I = 20; (1 0 1), 19.61°, I = 45; (1 1 0), 23.48°, I = 21; (2 0 0), 27.18°, I = 23; (0 0 2), 28.56°, I = 27; (2 0 1), 30.77°, I = 100; (2 1 1), 39.07°, I = 19; (2 0 2), 39.83°, I = 16; (2 2 0), 48.02°, I = 18; (2 0 3), 51.98°, I = 22; (2 2 2), 56.83°, I = 22; (4 0 1), 58.13°, I = 15

This entry pairs a crystal structure of CaTb3 with its simulated X-ray powder pattern. Radiation: Cu Kα, 1.54184 Å. Structure: a DFT-relaxed cell (PBE, the Materials Project).
Neutral-atom scattering factors, no anomalous dispersion.

Structural model:
abc: 5.110 5.110 5.110
angles: 90.00 90.00 90.00
Space group Pm-3m (No. 221)
Unique sites:
Ca (0.000, 0.000, 0.000)
Tb (0.000, 0.500, 0.500)

Peak list (12 most intense, 2θ from 10° to 90°, by angle)
(1 0 0), 17.35°, I = 14; (1 1 0), 24.64°, I = 12; (1 1 1), 30.30°, I = 100; (2 0 0), 35.12°, I = 51; (2 1 0), 39.43°, I = 7; (2 1 1), 43.38°, I = 6; (2 2 0), 50.52°, I = 36; (3 1 1), 60.05°, I = 43; (2 2 2), 63.02°, I = 12; (4 0 0), 74.24°, I = 6; (3 3 1), 82.24°, I = 17; (4 2 0), 84.86°, I = 16